(1)
# CsMnCuTe2
Calculated powder X-ray diffraction pattern, Cu Kα, 1.54184 Å. Input: a structure optimized by DFT (GGA-PBE).
Neutral-atom scattering factors, no anomalous dispersion.

Peak list (10 most intense, 10° ≤ 2θ ≤ 90°, in order of falling intensity)
d 3.486, I 100, (1 3 1); d 3.353, I 29, (2 0 0); d 1.960, I 23, (3 3 1); d 1.944, I 22, (0 8 0); d 2.357, I 17, (2 0 2); d 2.040, I 15, (0 6 2); d 2.593, I 13, (1 5 1); d 3.048, I 11, (0 2 2); d 1.743, I 10, (2 6 2); d 3.314, I 10, (0 0 2)

Lattice parameters (Å, degrees): 6.707 15.536 6.628 90.00 90.00 90.00
Space group Cmme (No. 67)
Symmetry-distinct sites (fractional):
Cs 0.000 0.250 0.235 (multiplicity 4)
Mn 0.250 0.000 0.500 (multiplicity 4)
Cu 0.000 0.000 0.000 (multiplicity 4)
Te 0.000 0.106 0.723 (multiplicity 8)



(2)
# AcPmY2
Calculated powder X-ray diffraction pattern, Cu Kα, 1.54184 Å. Input: a structure optimized by DFT (GGA-PBE).
Neutral-atom scattering factors, no anomalous dispersion.

Peak list (10 most intense, 10° ≤ 2θ ≤ 90°, in order of falling intensity)
d 3.014, I 100, (1 1 1); d 2.638, I 35, (2 0 0); d 1.586, I 30, (3 1 1); d 1.837, I 24, (2 0 2); d 2.558, I 16, (0 0 2); d 1.551, I 14, (1 1 3); d 1.865, I 13, (2 2 0); d 1.507, I 13, (2 2 2); d 1.193, I 12, (3 1 3); d 5.117, I 10, (0 0 1)

Lattice parameters (Å, degrees): 5.276 5.276 5.117 90.00 90.00 90.00
Space group P4/mmm (No. 123)
Symmetry-distinct sites (fractional):
Ac 0.000 0.000 0.000 (multiplicity 1)
Pm 0.500 0.500 0.000 (multiplicity 1)
Y 0.000 0.500 0.500 (multiplicity 2)



(3)
# HoPuTlBr6
Calculated powder X-ray diffraction pattern, Cu Kα, 1.54184 Å. Input: a structure optimized by DFT (GGA-PBE).
Neutral-atom scattering factors, no anomalous dispersion.

Peak list (10 most intense, 10° ≤ 2θ ≤ 90°, in order of falling intensity)
d 4.845, I 100, (1 0 2); d 2.612, I 89, (1 1 4); d 3.328, I 47, (1 1 2); d 2.158, I 39, (3 0 0); d 2.320, I 33, (2 1 2); d 2.960, I 26, (2 0 2); d 1.664, I 21, (4 -2 4); d 3.738, I 21, (1 1 0); d 7.302, I 19, (0 0 2); d 1.318, I 18, (4 1 4)

Lattice parameters (Å, degrees): 7.4765 7.4765 14.6036 90.00 90.00 120.00
Space group P-31c (No. 163)
Symmetry-distinct sites (fractional):
Ho 0.3333 0.6667 0.2500 (multiplicity 2)
Pu 0.3333 0.6667 0.7500 (multiplicity 2)
Tl 0.0000 0.0000 0.0000 (multiplicity 2)
Br 0.0178 0.3739 0.1370 (multiplicity 12)



Number 3 is which compound?
HoPuTlBr6